# 1
Theoretical powder X-ray diffraction pattern
Compound: LaDyF6
Radiation: copper Kα
Structure: a structure optimized by DFT (GGA-PBE)

Cell and atoms:
Cell: 5.4997 5.4997 8.0725 Å, 90.00 90.00 90.00°
Fractional positions:
1 La 0.0000 0.0000 0.0000
2 La 0.0000 0.0000 0.5000
3 Dy 0.5000 0.5000 0.2500
4 Dy 0.5000 0.5000 0.7500
5 F 0.2042 0.2490 0.1839
6 F 0.2042 0.2490 0.8161
7 F 0.2490 0.7958 0.3161
8 F 0.2490 0.7958 0.6839
9 F 0.3146 0.3390 0.5000
10 F 0.3390 0.6854 0.0000
11 F 0.6610 0.3146 0.0000
12 F 0.6854 0.6610 0.5000
13 F 0.7510 0.2042 0.3161
14 F 0.7510 0.2042 0.6839
15 F 0.7958 0.7510 0.1839
16 F 0.7958 0.7510 0.8161

The 10 most intense peaks (2θ = 10–80°), sorted by position:
| 2θ/deg | Rel. int. |
| --- | --- |
| 22.9 | 100 |
| 27.4 | 99 |
| 32.6 | 17 |
| 43.1 | 80 |
| 46.7 | 22 |
| 51.0 | 23 |
| 52.6 | 18 |
| 55.0 | 24 |
| 65.4 | 16 |
| 71.6 | 15 |

# 2
Theoretical powder X-ray diffraction pattern
Compound: CaGa4Pd4
Radiation: copper Kα
Structure: a structure optimized by DFT (GGA-PBE)

Cell and atoms:
Cell: 8.4795 8.4795 4.8105 Å, 90.00 90.00 90.00°
Fractional positions:
1 Ca 0.2500 0.2500 0.2500
2 Ca 0.7500 0.7500 0.7500
3 Ga 0.0409 0.9009 0.2117
4 Ga 0.0991 0.5409 0.7117
5 Ga 0.4009 0.9591 0.7117
6 Ga 0.4591 0.5991 0.2117
7 Ga 0.5409 0.4009 0.7883
8 Ga 0.5991 0.0409 0.2883
9 Ga 0.9009 0.4591 0.2883
10 Ga 0.9591 0.0991 0.7883
11 Pd 0.1191 0.8551 0.7064
12 Pd 0.1449 0.6191 0.2064
13 Pd 0.3551 0.8809 0.2064
14 Pd 0.3809 0.6449 0.7064
15 Pd 0.6191 0.3551 0.2936
16 Pd 0.6449 0.1191 0.7936
17 Pd 0.8551 0.3809 0.7936
18 Pd 0.8809 0.1449 0.2936

The 10 most intense peaks (2θ = 10–80°), sorted by position:
| 2θ/deg | Rel. int. |
| --- | --- |
| 14.8 | 100 |
| 30.0 | 15 |
| 33.4 | 73 |
| 37.4 | 42 |
| 38.9 | 16 |
| 42.7 | 21 |
| 42.8 | 77 |
| 48.1 | 22 |
| 51.0 | 33 |
| 78.2 | 14 |

# 3
Theoretical powder X-ray diffraction pattern
Compound: KCd3Pt
Radiation: copper Kα
Structure: a structure optimized by DFT (GGA-PBE)

Cell and atoms:
Cell: 5.3112 5.3112 5.3112 Å, 90.00 90.00 90.00°
Fractional positions:
1 K 0.0000 0.0000 0.0000
2 Cd 0.0000 0.5000 0.5000
3 Cd 0.5000 0.0000 0.5000
4 Cd 0.5000 0.5000 0.0000
5 Pt 0.5000 0.5000 0.5000

The 10 most intense peaks (2θ = 10–80°), sorted by position:
| 2θ/deg | Rel. int. |
| --- | --- |
| 16.7 | 100 |
| 23.7 | 18 |
| 29.1 | 20 |
| 33.8 | 87 |
| 37.9 | 54 |
| 48.5 | 61 |
| 51.6 | 28 |
| 60.4 | 21 |
| 63.1 | 12 |
| 73.5 | 16 |

# 4
Theoretical powder X-ray diffraction pattern
Compound: La4Sn2I
Radiation: copper Kα
Structure: a structure optimized by DFT (GGA-PBE)

Cell and atoms:
Cell: 6.8316 6.6700 10.8242 Å, 90.00 105.20 90.00°
Fractional positions:
1 La 0.0309 0.2500 0.3486
2 La 0.1219 0.2500 0.9589
3 La 0.4647 0.5139 0.2293
4 La 0.4647 0.9861 0.2293
5 La 0.5353 0.0139 0.7707
6 La 0.5353 0.4861 0.7707
7 La 0.8781 0.7500 0.0411
8 La 0.9691 0.7500 0.6514
9 Sn 0.2916 0.7500 0.9431
10 Sn 0.4334 0.7500 0.5033
11 Sn 0.5666 0.2500 0.4967
12 Sn 0.7084 0.2500 0.0569
13 I 0.0981 0.2500 0.6601
14 I 0.9019 0.7500 0.3399

The 10 most intense peaks (2θ = 10–80°), sorted by position:
| 2θ/deg | Rel. int. |
| --- | --- |
| 26.1 | 58 |
| 27.1 | 46 |
| 30.0 | 93 |
| 30.2 | 100 |
| 31.1 | 47 |
| 31.8 | 94 |
| 32.1 | 100 |
| 32.8 | 84 |
| 33.4 | 90 |
| 37.3 | 46 |

# 5
Theoretical powder X-ray diffraction pattern
Compound: Tl4Au
Radiation: copper Kα
Structure: a structure optimized by DFT (GGA-PBE)

Cell and atoms:
Cell: 6.9106 6.9106 6.1285 Å, 90.00 90.00 90.00°
Fractional positions:
1 Tl 0.0813 0.5813 0.2362
2 Tl 0.0813 0.9187 0.7638
3 Tl 0.4187 0.5813 0.7638
4 Tl 0.4187 0.9187 0.2362
5 Tl 0.5813 0.0813 0.7638
6 Tl 0.5813 0.4187 0.2362
7 Tl 0.9187 0.0813 0.2362
8 Tl 0.9187 0.4187 0.7638
9 Au 0.2500 0.2500 0.5000
10 Au 0.7500 0.7500 0.5000

The 10 most intense peaks (2θ = 10–80°), sorted by position:
| 2θ/deg | Rel. int. |
| --- | --- |
| 23.3 | 15 |
| 29.1 | 16 |
| 32.4 | 100 |
| 34.6 | 18 |
| 39.3 | 32 |
| 41.3 | 26 |
| 53.8 | 23 |
| 57.0 | 23 |
| 64.8 | 19 |
| 73.0 | 10 |

# 6
Theoretical powder X-ray diffraction pattern
Compound: Ho2Cu3Ni4
Radiation: copper Kα
Structure: a structure optimized by DFT (GGA-PBE)

Cell and atoms:
Cell: 7.6125 6.6770 4.9932 Å, 80.01 59.75 40.24°
Fractional positions:
1 Ho 0.1453 0.1453 0.8547
2 Ho 0.8547 0.8547 0.1453
3 Cu 0.0000 0.0000 0.5000
4 Cu 0.5000 0.5000 0.0000
5 Cu 0.5000 0.5000 0.5000
6 Ni 0.1570 0.5049 0.4951
7 Ni 0.4951 0.8430 0.1570
8 Ni 0.5049 0.1570 0.8430
9 Ni 0.8430 0.4951 0.5049

The 10 most intense peaks (2θ = 10–80°), sorted by position:
| 2θ/deg | Rel. int. |
| --- | --- |
| 30.2 | 39 |
| 35.4 | 17 |
| 36.7 | 25 |
| 37.4 | 24 |
| 41.3 | 14 |
| 42.3 | 100 |
| 42.9 | 18 |
| 43.6 | 28 |
| 47.8 | 20 |
| 70.8 | 22 |

# 7
Theoretical powder X-ray diffraction pattern
Compound: Pm3Sn2Rh2
Radiation: copper Kα
Structure: a structure optimized by DFT (GGA-PBE)

Cell and atoms:
Cell: 5.9155 8.3447 13.8900 Å, 90.00 90.00 90.00°
Fractional positions:
1 Pm 0.1256 0.2436 0.2500
2 Pm 0.1256 0.2564 0.7500
3 Pm 0.3360 0.6039 0.0944
4 Pm 0.3360 0.6039 0.4056
5 Pm 0.3360 0.8961 0.5944
6 Pm 0.3360 0.8961 0.9056
7 Pm 0.6640 0.1039 0.0944
8 Pm 0.6640 0.1039 0.4056
9 Pm 0.6640 0.3961 0.5944
10 Pm 0.6640 0.3961 0.9056
11 Pm 0.8744 0.7436 0.2500
12 Pm 0.8744 0.7564 0.7500
13 Sn 0.1714 0.2500 0.0000
14 Sn 0.1714 0.2500 0.5000
15 Sn 0.3779 0.6063 0.7500
16 Sn 0.3779 0.8937 0.2500
17 Sn 0.6221 0.1063 0.7500
18 Sn 0.6221 0.3937 0.2500
19 Sn 0.8286 0.7500 0.0000
20 Sn 0.8286 0.7500 0.5000
21 Rh 0.1208 0.5440 0.5930
22 Rh 0.1208 0.5440 0.9070
23 Rh 0.1208 0.9560 0.0930
24 Rh 0.1208 0.9560 0.4070
25 Rh 0.8792 0.0440 0.5930
26 Rh 0.8792 0.0440 0.9070
27 Rh 0.8792 0.4560 0.0930
28 Rh 0.8792 0.4560 0.4070

The 10 most intense peaks (2θ = 10–80°), sorted by position:
| 2θ/deg | Rel. int. |
| --- | --- |
| 28.8 | 32 |
| 31.7 | 58 |
| 32.1 | 57 |
| 32.6 | 61 |
| 33.6 | 50 |
| 35.7 | 95 |
| 36.9 | 26 |
| 37.7 | 100 |
| 38.9 | 37 |
| 55.2 | 26 |

# 8
Theoretical powder X-ray diffraction pattern
Compound: Na2ZrSi4H4O13
Radiation: copper Kα
Structure: a structure optimized by DFT (GGA-PBE)

Cell and atoms:
Cell: 9.2264 8.9708 7.6460 Å, 90.00 112.89 90.00°
Fractional positions:
1 Na 0.2074 0.1855 0.2127
2 Na 0.2074 0.3145 0.7127
3 Na 0.7926 0.6855 0.2873
4 Na 0.7926 0.8145 0.7873
5 Zr 0.0000 0.0000 0.5000
6 Zr 0.0000 0.5000 0.0000
7 Si 0.1688 0.6593 0.6980
8 Si 0.1688 0.8407 0.1980
9 Si 0.3189 0.5595 0.4104
10 Si 0.3189 0.9405 0.9104
11 Si 0.6811 0.0595 0.0896
12 Si 0.6811 0.4405 0.5896
13 Si 0.8312 0.1593 0.8020
14 Si 0.8312 0.3407 0.3020
15 H 0.3430 0.1117 0.6072
16 H 0.3430 0.3883 0.1072
17 H 0.4818 0.2085 0.5913
18 H 0.4818 0.2915 0.0913
19 H 0.5182 0.7085 0.9087
20 H 0.5182 0.7915 0.4087
21 H 0.6570 0.6117 0.8928
22 H 0.6570 0.8883 0.3928
23 O 0.0281 0.7310 0.0668
24 O 0.0281 0.7690 0.5668
25 O 0.1162 0.5363 0.8162
26 O 0.1162 0.9637 0.3162
27 O 0.2173 0.0419 0.7292
28 O 0.2173 0.4581 0.2292
29 O 0.2475 0.5566 0.5762
30 O 0.2475 0.9434 0.0762
31 O 0.3178 0.7354 0.3427
32 O 0.3178 0.7646 0.8427
33 O 0.3665 0.1971 0.5414
34 O 0.3665 0.3029 0.0414
35 O 0.5000 0.0000 0.0000
36 O 0.5000 0.5000 0.5000
37 O 0.6335 0.6971 0.9586
38 O 0.6335 0.8029 0.4586
39 O 0.6822 0.2354 0.1573
40 O 0.6822 0.2646 0.6573
41 O 0.7525 0.0566 0.9238
42 O 0.7525 0.4434 0.4238
43 O 0.7827 0.5419 0.7708
44 O 0.7827 0.9581 0.2708
45 O 0.8838 0.0363 0.6838
46 O 0.8838 0.4637 0.1838
47 O 0.9719 0.2310 0.4332
48 O 0.9719 0.2690 0.9332

The 10 most intense peaks (2θ = 10–80°), sorted by position:
| 2θ/deg | Rel. int. |
| --- | --- |
| 10.4 | 100 |
| 16.2 | 75 |
| 21.7 | 58 |
| 25.8 | 63 |
| 27.7 | 18 |
| 30.2 | 59 |
| 31.9 | 23 |
| 32.6 | 56 |
| 40.5 | 17 |
| 52.0 | 20 |

# 9
Theoretical powder X-ray diffraction pattern
Compound: Zr3V9Ge10
Radiation: copper Kα
Structure: a structure optimized by DFT (GGA-PBE)

Cell and atoms:
Cell: 9.5583 9.5583 7.8441 Å, 114.07 114.07 31.14°
Fractional positions:
1 Zr 0.0000 0.0000 0.0000
2 Zr 0.2847 0.2847 0.0573
3 Zr 0.5007 0.5007 0.7664
4 V 0.0781 0.0781 0.7065
5 V 0.0806 0.5830 0.7181
6 V 0.2044 0.6998 0.3373
7 V 0.2072 0.2072 0.3457
8 V 0.5783 0.5783 0.2187
9 V 0.5830 0.0806 0.7181
10 V 0.6998 0.2044 0.3373
11 V 0.7066 0.7066 0.8314
12 V 0.7888 0.7888 0.2875
13 Ge 0.0771 0.0771 0.3761
14 Ge 0.2074 0.2074 0.6775
15 Ge 0.3541 0.3541 0.4444
16 Ge 0.3977 0.8917 0.0301
17 Ge 0.4301 0.4301 0.0187
18 Ge 0.5786 0.5786 0.5452
19 Ge 0.7108 0.7108 0.4934
20 Ge 0.8533 0.8533 0.0408
21 Ge 0.8917 0.3977 0.0301
22 Ge 0.9273 0.9273 0.6034

The 10 most intense peaks (2θ = 10–80°), sorted by position:
| 2θ/deg | Rel. int. |
| --- | --- |
| 35.0 | 44 |
| 38.0 | 51 |
| 38.6 | 53 |
| 39.5 | 84 |
| 39.6 | 42 |
| 40.2 | 100 |
| 40.4 | 93 |
| 42.1 | 34 |
| 48.5 | 21 |
| 73.9 | 16 |